For Tl3Cu2HgCl9, DFT lattice parameters and positions (GGA-PBE) gives the theoretical powder XRD pattern in this record (Cu Kα (λ = 1.5418 Å)).

The 12 most intense peaks (2θ = 15–90°), by angle:
Position (°2θ)	I (rel.)
25.0	100.0
25.2	95.2
31.0	31.2
35.8	90.6
44.0	21.5
44.3	44.5
44.4	21.9
51.4	28.9
51.8	30.1
58.1	19.7
58.4	20.8
70.5	23.5

Cell and atoms:
```
Tl3Cu2HgCl9
1.0
7.062 0.000 0.000
-3.531 6.116 0.000
0.000 0.000 8.745
Tl Cu Hg Cl
3 2 1 9
direct
0.000 0.000 0.000
0.333 0.667 0.680
0.667 0.333 0.320
0.333 0.667 0.155
0.667 0.333 0.845
0.000 0.000 0.500
0.000 0.500 0.000
0.173 0.347 0.317
0.173 0.827 0.317
0.347 0.173 0.683
0.500 0.000 0.000
0.500 0.500 0.000
0.653 0.827 0.317
0.827 0.173 0.683
0.827 0.653 0.683
```

For HoCuCl6, DFT lattice parameters and positions (GGA-PBE) gives the theoretical powder XRD pattern in this record (Cu Kα (λ = 1.5418 Å)).

The 12 most intense peaks (2θ = 15–90°), by angle:
Position (°2θ)	I (rel.)
20.6	100.0
23.9	25.4
24.8	43.8
26.3	16.8
29.3	20.2
30.9	21.8
39.1	17.2
39.3	19.3
41.6	18.4
42.0	19.2
43.2	16.0
53.5	17.0

Cell and atoms:
```
HoCuCl6
1.0
5.617 0.000 0.000
0.060 6.789 0.000
2.093 3.066 5.925
Ho Cu Cl
1 1 6
direct
0.000 0.000 0.000
0.500 0.500 0.000
0.021 0.207 0.591
0.304 0.386 0.824
0.402 0.836 0.827
0.598 0.164 0.173
0.696 0.614 0.176
0.979 0.793 0.409
```

For KHoCuCl5, DFT lattice parameters and positions (GGA-PBE) gives the theoretical powder XRD pattern in this record (Cu Kα (λ = 1.5418 Å)).

The 12 most intense peaks (2θ = 15–90°), by angle:
Position (°2θ)	I (rel.)
15.1	19.7
19.8	100.0
22.2	52.1
24.7	55.3
25.3	46.1
28.7	21.1
32.5	24.4
38.4	24.0
38.6	19.2
40.9	27.4
42.7	21.3
43.4	23.8

Cell and atoms:
```
KHoCuCl5
1.0
4.343 -5.886 0.000
4.343 5.886 0.000
-3.857 0.000 9.119
K Ho Cu Cl
2 2 2 10
direct
0.150 0.850 0.750
0.850 0.150 0.250
0.500 0.500 0.000
0.500 0.500 0.500
0.189 0.811 0.250
0.811 0.189 0.750
0.122 0.255 0.927
0.189 0.593 0.388
0.255 0.122 0.427
0.407 0.811 0.112
0.419 0.581 0.750
0.581 0.419 0.250
0.593 0.189 0.888
0.745 0.878 0.573
0.811 0.407 0.612
0.878 0.745 0.073
```

For Cu2ICl2, DFT lattice parameters and positions (GGA-PBE) gives the theoretical powder XRD pattern in this record (Cu Kα (λ = 1.5418 Å)).

The 12 most intense peaks (2θ = 15–90°), by angle:
Position (°2θ)	I (rel.)
15.0	39.6
15.5	100.0
22.6	85.7
27.3	52.0
27.9	38.5
33.5	26.3
34.6	72.1
35.4	41.3
35.6	28.9
40.4	28.3
43.1	38.7
44.1	24.0

Cell and atoms:
```
Cu2ICl2
1.0
4.200 -5.708 0.000
4.200 5.708 0.000
-3.806 0.000 5.416
Cu I Cl
4 2 4
direct
0.191 0.309 0.082
0.309 0.191 0.582
0.691 0.809 0.418
0.809 0.691 0.918
0.089 0.911 0.750
0.911 0.089 0.250
0.000 0.500 0.000
0.500 0.000 0.500
0.500 0.500 0.000
0.500 0.500 0.500
```

For CuI2Cl, DFT lattice parameters and positions (GGA-PBE) gives the theoretical powder XRD pattern in this record (Cu Kα (λ = 1.5418 Å)).

The 12 most intense peaks (2θ = 15–90°), by angle:
Position (°2θ)	I (rel.)
17.2	33.6
22.7	35.0
23.8	20.9
24.5	71.0
27.6	100.0
31.4	24.9
39.1	30.1
41.3	20.8
42.4	40.5
43.7	25.5
50.7	18.8
51.6	14.2

Cell and atoms:
```
CuI2Cl
1.0
4.072 0.000 0.000
0.000 12.435 0.000
-1.471 0.000 5.144
Cu I Cl
2 4 2
direct
0.001 0.250 0.382
0.999 0.750 0.618
0.139 0.084 0.676
0.139 0.416 0.676
0.861 0.584 0.324
0.861 0.916 0.324
0.431 0.250 0.136
0.569 0.750 0.864
```

For CuICl2, DFT lattice parameters and positions (GGA-PBE) gives the theoretical powder XRD pattern in this record (Cu Kα (λ = 1.5418 Å)).

The 12 most intense peaks (2θ = 15–90°), by angle:
Position (°2θ)	I (rel.)
17.9	94.1
18.3	93.8
19.4	100.0
23.5	48.4
24.8	56.6
29.4	66.6
29.6	27.7
33.3	38.3
34.0	40.6
36.3	25.6
39.9	35.5
43.8	27.3

Cell and atoms:
```
CuICl2
1.0
6.305 0.000 0.000
1.072 6.449 0.000
0.712 0.552 7.039
Cu I Cl
2 2 4
direct
0.000 0.000 0.000
0.430 0.837 0.169
0.300 0.724 0.863
0.318 0.394 0.562
0.093 0.931 0.297
0.609 0.563 0.357
0.630 0.073 0.042
0.996 0.257 0.757
```

For CuICl, DFT lattice parameters and positions (GGA-PBE) gives the theoretical powder XRD pattern in this record (Cu Kα (λ = 1.5418 Å)).

The 12 most intense peaks (2θ = 15–90°), by angle:
Position (°2θ)	I (rel.)
20.8	14.8
23.3	100.0
27.6	11.8
29.0	15.2
30.9	19.9
33.5	32.1
39.8	18.1
40.1	17.9
41.5	13.1
42.7	17.0
47.7	12.7
47.9	11.2

Cell and atoms:
```
CuICl
1.0
4.526 0.000 0.000
1.678 6.533 0.000
1.978 2.163 6.213
Cu I Cl
2 2 2
direct
0.237 0.267 0.002
0.763 0.733 0.998
0.451 0.038 0.744
0.549 0.962 0.256
0.062 0.479 0.223
0.938 0.521 0.777
```

For Cu3I2Cl, DFT lattice parameters and positions (GGA-PBE) gives the theoretical powder XRD pattern in this record (Cu Kα (λ = 1.5418 Å)).

The 12 most intense peaks (2θ = 15–90°), by angle:
Position (°2θ)	I (rel.)
26.4	100.0
30.0	5.8
43.4	12.4
43.5	11.7
43.8	46.0
51.5	29.1
52.2	13.5
63.1	7.4
70.2	10.7
79.9	7.8
80.1	6.7
80.8	6.4

Cell and atoms:
```
Cu3I2Cl
1.0
4.171 0.000 0.000
0.000 12.477 0.000
0.000 0.000 5.794
Cu I Cl
6 4 2
direct
0.000 0.000 0.000
0.000 0.344 0.952
0.000 0.656 0.952
0.500 0.156 0.452
0.500 0.500 0.500
0.500 0.844 0.452
0.000 0.164 0.721
0.000 0.836 0.721
0.500 0.336 0.221
0.500 0.664 0.221
0.000 0.500 0.718
0.500 0.000 0.218
```

For Cu3I3Cl, DFT lattice parameters and positions (GGA-PBE) gives the theoretical powder XRD pattern in this record (Cu Kα (λ = 1.5418 Å)).

The 12 most intense peaks (2θ = 15–90°), by angle:
Position (°2θ)	I (rel.)
21.6	20.7
23.3	100.0
25.0	60.9
27.7	29.2
32.0	15.7
33.3	15.5
34.5	52.4
41.1	17.4
44.1	48.3
47.6	14.1
50.5	64.0
66.9	26.6

Cell and atoms:
```
Cu3I3Cl
1.0
8.211 0.000 0.000
-4.105 7.111 0.000
0.000 0.000 7.635
Cu I Cl
6 6 2
direct
0.173 0.346 0.250
0.173 0.827 0.250
0.346 0.173 0.750
0.654 0.827 0.250
0.827 0.173 0.750
0.827 0.654 0.750
0.178 0.357 0.750
0.178 0.822 0.750
0.357 0.178 0.250
0.643 0.822 0.750
0.822 0.178 0.250
0.822 0.643 0.250
0.333 0.667 0.250
0.667 0.333 0.750
```

For CuI2Cl2, DFT lattice parameters and positions (GGA-PBE) gives the theoretical powder XRD pattern in this record (Cu Kα (λ = 1.5418 Å)).

The 12 most intense peaks (2θ = 15–90°), by angle:
Position (°2θ)	I (rel.)
21.2	34.6
21.9	100.0
24.1	29.9
27.8	19.9
30.1	13.6
31.6	13.2
36.8	21.4
38.2	16.5
38.7	13.5
39.7	16.4
44.7	13.9
46.6	18.3

Cell and atoms:
```
CuI2Cl2
1.0
4.983 0.000 0.000
1.558 6.279 0.000
0.970 2.129 6.198
Cu I Cl
1 2 2
direct
0.000 0.000 0.000
0.404 0.718 0.863
0.596 0.282 0.137
0.114 0.193 0.674
0.886 0.807 0.326
```

For CuICl3, DFT lattice parameters and positions (GGA-PBE) gives the theoretical powder XRD pattern in this record (Cu Kα (λ = 1.5418 Å)).

The 12 most intense peaks (2θ = 15–90°), by angle:
Position (°2θ)	I (rel.)
17.0	23.7
17.2	22.9
20.0	32.6
20.2	17.2
21.5	66.7
24.5	100.0
29.4	25.6
32.2	16.5
35.8	27.9
36.3	22.5
42.5	19.0
43.7	17.2

Cell and atoms:
```
CuICl3
1.0
6.705 0.000 0.000
0.000 8.794 0.000
-3.318 0.000 12.142
Cu I Cl
4 4 12
direct
0.002 0.061 0.123
0.002 0.939 0.623
0.998 0.061 0.377
0.998 0.939 0.877
0.177 0.384 0.847
0.177 0.616 0.347
0.823 0.384 0.653
0.823 0.616 0.153
0.226 0.062 0.545
0.226 0.938 0.045
0.240 0.108 0.284
0.240 0.892 0.784
0.270 0.383 0.046
0.270 0.617 0.546
0.730 0.383 0.454
0.730 0.617 0.954
0.760 0.108 0.216
0.760 0.892 0.716
0.774 0.062 0.955
0.774 0.938 0.455
```

For K2CuICl2, DFT lattice parameters and positions (GGA-PBE) gives the theoretical powder XRD pattern in this record (Cu Kα (λ = 1.5418 Å)).

The 12 most intense peaks (2θ = 15–90°), by angle:
Position (°2θ)	I (rel.)
22.9	100.0
25.1	33.3
25.3	87.6
25.4	66.5
26.2	41.9
32.3	47.8
34.9	46.0
35.2	72.6
38.3	35.0
39.5	38.7
42.8	77.2
51.9	36.5

Cell and atoms:
```
K2CuICl2
1.0
6.837 -3.732 0.000
6.837 3.732 0.000
0.000 0.000 8.294
K Cu I Cl
4 2 2 4
direct
0.089 0.599 0.500
0.401 0.911 0.500
0.599 0.089 0.000
0.911 0.401 0.000
0.285 0.715 0.890
0.715 0.285 0.390
0.425 0.575 0.193
0.575 0.425 0.693
0.011 0.282 0.357
0.282 0.011 0.857
0.718 0.989 0.357
0.989 0.718 0.857
```

For Rb2CuICl6, DFT lattice parameters and positions (GGA-PBE) gives the theoretical powder XRD pattern in this record (Cu Kα (λ = 1.5418 Å)).

The 12 most intense peaks (2θ = 15–90°), by angle:
Position (°2θ)	I (rel.)
23.0	100.0
23.1	52.5
28.3	19.2
32.5	36.0
32.9	61.8
40.3	23.3
40.5	34.5
46.9	41.5
47.2	18.0
53.2	30.7
58.5	17.8
63.7	17.2

Cell and atoms:
```
Rb2CuICl6
1.0
-3.851 3.851 5.510
3.851 -3.851 5.510
3.851 3.851 -5.510
Rb Cu I Cl
2 1 1 6
direct
0.250 0.750 0.500
0.750 0.250 0.500
0.000 0.000 0.000
0.500 0.500 0.000
0.204 0.204 0.409
0.204 0.796 0.000
0.270 0.270 0.000
0.730 0.730 0.000
0.796 0.204 0.000
0.796 0.796 0.591
```

For InCu2Cl4, DFT lattice parameters and positions (GGA-PBE) gives the theoretical powder XRD pattern in this record (Cu Kα (λ = 1.5418 Å)).

The 12 most intense peaks (2θ = 15–90°), by angle:
Position (°2θ)	I (rel.)
16.5	22.5
21.1	30.3
26.9	100.0
31.4	11.9
37.3	7.5
39.8	10.9
43.1	42.6
47.1	17.5
47.8	17.9
55.7	23.6
69.3	10.1
85.7	10.3

Cell and atoms:
```
InCu2Cl4
1.0
5.384 0.000 0.000
0.000 5.384 0.000
0.000 0.000 6.718
In Cu Cl
1 2 4
direct
0.000 0.000 0.000
0.000 0.500 0.500
0.500 0.000 0.500
0.258 0.258 0.303
0.258 0.742 0.697
0.742 0.258 0.697
0.742 0.742 0.303
```